# 1
Calculated powder diffraction line list
Compound: La3Y8Tm
Radiation: CuKα
Structure: DFT lattice parameters and positions (GGA-PBE)

Most intense lines, 2θ from 10° to 80°, in order of rising 2θ:
two_theta	d [Å]	intensity
21.1	4.219	53
23.8	3.745	32
28.5	3.135	70
31.4	2.851	50
32.6	2.746	32
35.7	2.516	100
42.9	2.109	43
43.8	2.066	33
55.2	1.663	29
58.7	1.573	25

Atomic structure:
```
La3Y8Tm
1.0
-4.433 4.433 5.703
4.433 -4.433 5.703
4.433 4.433 -5.703
La Y Tm
3 8 1
Direct
0.000 0.000 0.000 La
0.250 0.750 0.500 La
0.750 0.250 0.500 La
0.132 0.381 0.000 Y
0.243 0.243 0.518 Y
0.275 0.757 0.000 Y
0.381 0.132 0.000 Y
0.619 0.619 0.752 Y
0.725 0.725 0.482 Y
0.757 0.275 0.000 Y
0.868 0.868 0.248 Y
0.500 0.500 0.000 Tm
```


# 2
Calculated powder diffraction line list
Compound: GaSiHSN
Radiation: CuKα
Structure: DFT lattice parameters and positions (GGA-PBE)

Most intense lines, 2θ from 10° to 80°, in order of rising 2θ:
two_theta	d [Å]	intensity
13.0	6.827	95
24.0	3.706	19
27.4	3.257	100
28.8	3.097	30
34.4	2.607	39
35.8	2.511	18
42.4	2.132	42
49.2	1.853	15
50.5	1.808	47
58.0	1.590	18

Atomic structure:
```
GaSiHSN
1.0
3.706 0.000 0.000
0.000 1.590 6.827
0.000 -1.590 6.827
Ga Si H S N
1 1 1 1 1
Direct
0.000 0.000 0.000 Ga
0.500 0.876 0.876 Si
0.500 0.239 0.239 H
0.000 0.611 0.611 S
0.500 0.314 0.314 N
```


# 3
Calculated powder diffraction line list
Compound: KIn2Cl3
Radiation: CuKα
Structure: DFT lattice parameters and positions (GGA-PBE)

Most intense lines, 2θ from 10° to 80°, in order of rising 2θ:
two_theta	d [Å]	intensity
19.0	4.660	19
23.4	3.804	46
26.2	3.404	100
28.8	3.103	39
37.4	2.407	37
39.3	2.293	64
44.5	2.034	18
47.8	1.902	42
62.2	1.492	22
68.7	1.367	22

Atomic structure:
```
KIn2Cl3
1.0
0.000 9.308 3.405
3.404 0.000 3.405
3.404 9.308 0.000
K In Cl
1 2 3
Direct
0.000 0.000 0.000 K
0.335 0.668 0.332 In
0.668 0.335 0.665 In
0.166 0.835 0.165 Cl
0.500 0.500 0.500 Cl
0.835 0.166 0.834 Cl
```